[1]
Theoretical powder diffractogram of SnAsPd2 for a wavelength of 1.5418 Å, from a PBE-relaxed structure.
Peak positions follow from Bragg's law for the DFT cell and can differ from measured ones.

Peak list (6 most intense, 15° ≤ 2θ ≤ 90°, in order of falling intensity)
2θ = 30.7°, I = 100.0; 2θ = 41.0°, I = 75.0; 2θ = 40.9°, I = 69.1; 2θ = 47.5°, I = 59.6; 2θ = 38.9°, I = 59.1; 2θ = 31.2°, I = 58.0

Atomic structure:
Unit cell a=7.815 b=6.592 c=5.837 alpha=90.00 beta=90.19 gamma=90.00
Element x y z (fractional)
Sn 0.121 0.100 0.293
Sn 0.121 0.400 0.793
Sn 0.879 0.600 0.207
Sn 0.879 0.900 0.707
As 0.378 0.569 0.193
As 0.378 0.931 0.693
As 0.622 0.069 0.307
As 0.622 0.431 0.807
Pd 0.152 0.711 0.487
Pd 0.152 0.789 0.987
Pd 0.393 0.194 0.008
Pd 0.393 0.306 0.508
Pd 0.607 0.694 0.492
Pd 0.607 0.806 0.992
Pd 0.848 0.211 0.013
Pd 0.848 0.289 0.513



[2]
Theoretical powder diffractogram of Ba2LaP2I2 for a wavelength of 1.5418 Å, from a PBE-relaxed structure.
Peak positions follow from Bragg's law for the DFT cell and can differ from measured ones.

Peak list (6 most intense, 15° ≤ 2θ ≤ 90°, in order of falling intensity)
2θ = 29.7°, I = 100.0; 2θ = 22.7°, I = 92.4; 2θ = 44.5°, I = 65.3; 2θ = 32.3°, I = 55.6; 2θ = 46.3°, I = 19.9; 2θ = 66.2°, I = 19.9

Atomic structure:
Unit cell a=9.775 b=9.775 c=9.775 alpha=147.07 beta=147.07 gamma=47.26
Element x y z (fractional)
Ba 0.113 0.113 0.000
Ba 0.887 0.887 0.000
La 0.500 0.500 0.000
P 0.000 0.500 0.500
P 0.500 0.000 0.500
I 0.314 0.314 0.000
I 0.686 0.686 0.000



[3]
Theoretical powder diffractogram of Pm4PrHo2Th for a wavelength of 1.5418 Å, from a PBE-relaxed structure.
Peak positions follow from Bragg's law for the DFT cell and can differ from measured ones.

Peak list (6 most intense, 15° ≤ 2θ ≤ 90°, in order of falling intensity)
2θ = 30.2°, I = 100.0; 2θ = 35.1°, I = 33.7; 2θ = 60.1°, I = 28.8; 2θ = 50.4°, I = 24.3; 2θ = 34.9°, I = 17.0; 2θ = 59.7°, I = 14.5

Atomic structure:
Unit cell a=5.103 b=5.111 c=10.280 alpha=90.00 beta=90.05 gamma=90.00
Element x y z (fractional)
Pm 0.000 0.000 0.245
Pm 0.000 0.000 0.755
Pm 0.500 0.500 0.246
Pm 0.500 0.500 0.754
Pr 0.500 0.000 0.500
Ho 0.000 0.500 0.500
Ho 0.500 0.000 0.000
Th 0.000 0.500 0.000



[4]
Theoretical powder diffractogram of KNaN for a wavelength of 1.5418 Å, from a PBE-relaxed structure.
Peak positions follow from Bragg's law for the DFT cell and can differ from measured ones.

Peak list (6 most intense, 15° ≤ 2θ ≤ 90°, in order of falling intensity)
2θ = 30.1°, I = 100.0; 2θ = 28.0°, I = 68.6; 2θ = 33.3°, I = 52.9; 2θ = 33.5°, I = 52.1; 2θ = 40.5°, I = 36.5; 2θ = 28.3°, I = 35.2

Atomic structure:
Unit cell a=3.668 b=3.936 c=12.791 alpha=95.81 beta=98.21 gamma=90.24
Element x y z (fractional)
K 0.000 0.000 0.000
K 0.141 0.268 0.282
Na 0.367 0.417 0.740
Na 0.768 0.850 0.542
N 0.553 0.512 0.108
N 0.588 0.756 0.174



[5]
Theoretical powder diffractogram of Hg2Bi3Pb6 for a wavelength of 1.5418 Å, from a PBE-relaxed structure.
Peak positions follow from Bragg's law for the DFT cell and can differ from measured ones.

Peak list (6 most intense, 15° ≤ 2θ ≤ 90°, in order of falling intensity)
2θ = 31.4°, I = 100.0; 2θ = 31.8°, I = 98.9; 2θ = 32.2°, I = 88.6; 2θ = 31.5°, I = 82.0; 2θ = 34.1°, I = 77.0; 2θ = 37.2°, I = 55.9

Atomic structure:
Unit cell a=6.157 b=7.026 c=9.085 alpha=96.24 beta=97.83 gamma=113.02
Element x y z (fractional)
Hg 0.024 0.090 0.347
Hg 0.976 0.910 0.653
Bi 0.487 0.285 0.819
Bi 0.500 0.500 0.500
Bi 0.513 0.715 0.181
Pb 0.024 0.265 0.015
Pb 0.032 0.629 0.345
Pb 0.476 0.811 0.817
Pb 0.524 0.189 0.183
Pb 0.968 0.371 0.655
Pb 0.976 0.735 0.985



[6]
Theoretical powder diffractogram of Rb2Np3O10 for a wavelength of 1.5418 Å, from a PBE-relaxed structure.
Peak positions follow from Bragg's law for the DFT cell and can differ from measured ones.

Peak list (6 most intense, 15° ≤ 2θ ≤ 90°, in order of falling intensity)
2θ = 25.3°, I = 100.0; 2θ = 27.0°, I = 72.6; 2θ = 22.5°, I = 65.1; 2θ = 26.1°, I = 62.0; 2θ = 28.8°, I = 43.0; 2θ = 24.9°, I = 42.7

Atomic structure:
Unit cell a=10.469 b=10.469 c=8.558 alpha=111.40 beta=111.40 gamma=37.88
Element x y z (fractional)
Rb 0.110 0.110 0.218
Rb 0.204 0.204 0.822
Rb 0.796 0.796 0.178
Rb 0.890 0.890 0.782
Np 0.248 0.752 0.500
Np 0.317 0.317 0.492
Np 0.420 0.420 0.027
Np 0.580 0.580 0.973
Np 0.683 0.683 0.508
Np 0.752 0.248 0.500
O 0.000 0.500 0.500
O 0.022 0.022 0.661
O 0.150 0.566 0.026
O 0.156 0.640 0.486
O 0.274 0.274 0.260
O 0.311 0.689 0.000
O 0.360 0.844 0.514
O 0.363 0.363 0.733
O 0.434 0.850 0.974
O 0.476 0.476 0.327
O 0.500 0.000 0.500
O 0.524 0.524 0.673
O 0.566 0.150 0.026
O 0.637 0.637 0.267
O 0.640 0.156 0.486
O 0.689 0.311 0.000
O 0.726 0.726 0.740
O 0.844 0.360 0.514
O 0.850 0.434 0.974
O 0.978 0.978 0.339